Diffraction record for MnCu2GeS4. The powder XRD pattern is computed, not measured: it uses the PBE geometry in the Materials Project and Cu Kα.

Principal peaks in the range 2θ from 5° to 70°, by intensity:
| h k l | two_theta | I (rel.) |
| --- | --- | --- |
| 2 1 1 | 30.81 | 100 |
| 2 1 0 | 27.20 | 84 |
| 0 0 2 | 28.61 | 83 |
| 2 1 3 | 52.07 | 71 |
| 2 3 0 | 48.34 | 65 |
| 0 2 0 | 27.42 | 48 |
| 0 2 1 | 31.01 | 43 |
| 2 3 2 | 57.14 | 41 |
| 4 0 0 | 47.92 | 34 |
| 0 2 3 | 52.20 | 33 |

Structural model:
```
data_MnCu2GeS4
_chemical_formula_sum 'Mn2 Cu4 Ge2 S8'
_symmetry_space_group_name_H-M 'P m n 21'
_symmetry_Int_Tables_number 31
_cell_length_a 7.593
_cell_length_b 6.504
_cell_length_c 6.240
_cell_angle_alpha 90.00
_cell_angle_beta 90.00
_cell_angle_gamma 90.00
loop_
_symmetry_equiv_pos_as_xyz
'x,y,z'
'-x+1/2,-y,z+1/2'
'-x,y,z'
'x+1/2,-y,z+1/2'
loop_
_atom_site_label
_atom_site_type_symbol
_atom_site_fract_x
_atom_site_fract_y
_atom_site_fract_z
Mn1 Mn 0.000 0.159 0.000
Cu1 Cu 0.249 0.325 0.507
Ge1 Ge 0.000 0.826 0.500
S1 S 0.000 0.157 0.384
S2 S 0.000 0.816 0.864
S3 S 0.242 0.659 0.375
```



Diffraction record for K3CaP2HO8. The powder XRD pattern is computed, not measured: it uses the PBE geometry in the Materials Project and Cu Kα.

Principal peaks in the range 2θ from 5° to 70°, by intensity:
| h k l | two_theta | I (rel.) |
| --- | --- | --- |
| 3 1 0 | 31.04 | 100 |
| 2 2 -2 | 42.53 | 59 |
| 0 2 0 | 30.77 | 49 |
| 1 1 2 | 30.34 | 47 |
| 2 0 -2 | 28.64 | 34 |
| 0 0 3 | 35.94 | 19 |
| 4 0 2 | 45.35 | 17 |
| 6 2 0 | 64.72 | 15 |
| 5 1 -2 | 52.72 | 13 |
| 3 3 0 | 54.88 | 13 |

Structural model:
```
data_K3CaP2HO8
_chemical_formula_sum 'K6 Ca2 P4 H2 O16'
_symmetry_space_group_name_H-M 'C 1 2/m 1'
_symmetry_Int_Tables_number 12
_cell_length_a 9.983
_cell_length_b 5.812
_cell_length_c 7.522
_cell_angle_alpha 90.00
_cell_angle_beta 94.63
_cell_angle_gamma 90.00
loop_
_symmetry_equiv_pos_as_xyz
'x,y,z'
'-x,-y,-z'
'-x,y,-z'
'x,-y,z'
'x+1/2,y+1/2,z'
'-x+1/2,-y+1/2,-z'
'-x+1/2,y+1/2,-z'
'x+1/2,-y+1/2,z'
loop_
_atom_site_label
_atom_site_type_symbol
_atom_site_fract_x
_atom_site_fract_y
_atom_site_fract_z
K1 K 0.000 0.000 0.000
K2 K 0.170 0.500 0.690
Ca1 Ca 0.000 0.000 0.500
P1 P 0.160 0.500 0.249
H1 H 0.000 0.500 0.000
O1 O 0.099 0.281 0.328
O2 O 0.121 0.500 0.040
O3 O 0.185 0.000 0.719
```



Diffraction record for H4W. The powder XRD pattern is computed, not measured: it uses the PBE geometry in the Materials Project and Cu Kα.

Principal peaks in the range 2θ from 5° to 70°, by intensity:
| h k l | two_theta | I (rel.) |
| --- | --- | --- |
| 0 0 1 | 11.65 | 100 |
| 1 0 2 | 37.54 | 49 |
| 1 0 1 | 31.27 | 42 |
| 1 1 0 | 41.35 | 19 |
| 1 1 1 | 43.11 | 17 |
| 1 0 3 | 46.38 | 13 |
| 1 1 4 | 65.11 | 11 |
| 2 1 1 | 69.15 | 9 |
| 1 1 3 | 55.59 | 9 |
| 0 0 3 | 35.46 | 8 |

Structural model:
```
data_H4W
_chemical_formula_sum 'H8 W2'
_symmetry_space_group_name_H-M 'P 4/n m m'
_symmetry_Int_Tables_number 129
_cell_length_a 3.088
_cell_length_b 3.088
_cell_length_c 7.595
_cell_angle_alpha 90.00
_cell_angle_beta 90.00
_cell_angle_gamma 90.00
loop_
_symmetry_equiv_pos_as_xyz
'x,y,z'
'-x,-y,-z'
'-y+1/2,x,z'
'y+1/2,-x,-z'
'-x+1/2,-y+1/2,z'
'x+1/2,y+1/2,-z'
'y,-x+1/2,z'
'-y,x+1/2,-z'
'x+1/2,-y,-z'
'-x+1/2,y,z'
'-y,-x,-z'
'y,x,z'
'-x,y+1/2,-z'
'x,-y+1/2,z'
'y+1/2,x+1/2,-z'
'-y+1/2,-x+1/2,z'
loop_
_atom_site_label
_atom_site_type_symbol
_atom_site_fract_x
_atom_site_fract_y
_atom_site_fract_z
H1 H 0.250 0.250 0.119
H2 H 0.250 0.250 0.646
H3 H 0.250 0.750 0.266
W1 W 0.250 0.250 0.874
```